# 1
For Tl5In3Hg, a structure optimized by DFT (PBE) gives the simulated PXRD pattern in this record (a wavelength of 1.5418 Å).
Lines closer than 0.1° are merged.

Cell and atoms:
```
data_Tl5In3Hg
_cell_length_a 8.101
_cell_length_b 8.101
_cell_length_c 16.961
_cell_angle_alpha 90.00
_cell_angle_beta 90.00
_cell_angle_gamma 90.00
_symmetry_space_group_name_H-M 'I 4/m c m'
_symmetry_Int_Tables_number 140
_symmetry_space_group_name_Hall '-I 4 2c'
loop_
_atom_site_label
_atom_site_type_symbol
_atom_site_fract_x
_atom_site_fract_y
_atom_site_fract_z
Tl1 Tl 0.000 0.000 0.000
Tl2 Tl 0.215 0.285 0.145
In1 In 0.000 0.000 0.250
In2 In 0.126 0.374 0.500
Hg1 Hg 0.000 0.500 0.250
```

The 10 most intense peaks (10 to 90 degrees two-theta), low angle first:
d/Å  two_theta  I (rel.)
3.050  29.3  379
2.929  30.5  1000
2.864  31.2  490
2.452  36.6  132
2.318  38.8  152
2.120  42.6  107
1.856  49.1  129
1.704  53.8  118
1.666  55.1  249
1.526  60.7  119



# 2
For PaInAg2Te4, a structure optimized by DFT (PBE) gives the simulated PXRD pattern in this record (a wavelength of 1.5418 Å).
Lines closer than 0.1° are merged.

Cell and atoms:
```
data_PaInAg2Te4
_cell_length_a 7.474
_cell_length_b 8.010
_cell_length_c 8.018
_cell_angle_alpha 90.00
_cell_angle_beta 90.00
_cell_angle_gamma 90.00
_symmetry_space_group_name_H-M 'I 2 2 2'
_symmetry_Int_Tables_number 23
_symmetry_space_group_name_Hall 'I 2 2'
loop_
_atom_site_label
_atom_site_type_symbol
_atom_site_fract_x
_atom_site_fract_y
_atom_site_fract_z
Pa1 Pa 0.000 0.000 0.000
In1 In 0.000 0.500 0.000
Ag1 Ag 0.000 0.323 0.500
Te1 Te 0.235 0.179 0.243
```

The 10 most intense peaks (10 to 90 degrees two-theta), low angle first:
d/Å  two_theta  I (rel.)
5.667  15.6  203
3.231  27.6  858
2.833  31.6  215
2.733  32.8  1000
2.131  42.4  371
2.045  44.3  237
2.004  45.2  170
1.880  48.4  196
1.659  55.4  126
1.567  58.9  130



# 3
For CoNi15Ge4, a structure optimized by DFT (PBE) gives the simulated PXRD pattern in this record (a wavelength of 1.5418 Å).
Lines closer than 0.1° are merged.

Cell and atoms:
```
data_CoNi15Ge4
_cell_length_a 3.569
_cell_length_b 3.569
_cell_length_c 17.816
_cell_angle_alpha 90.00
_cell_angle_beta 90.00
_cell_angle_gamma 90.00
_symmetry_space_group_name_H-M 'P 4/m m m'
_symmetry_Int_Tables_number 123
_symmetry_space_group_name_Hall '-P 4 2'
loop_
_atom_site_label
_atom_site_type_symbol
_atom_site_fract_x
_atom_site_fract_y
_atom_site_fract_z
Co1 Co 0.000 0.000 0.000
Ni1 Ni 0.000 0.500 0.097
Ni2 Ni 0.000 0.500 0.299
Ni3 Ni 0.000 0.500 0.500
Ni4 Ni 0.500 0.500 0.000
Ni5 Ni 0.500 0.500 0.199
Ni6 Ni 0.500 0.500 0.400
Ge1 Ge 0.000 0.000 0.198
Ge2 Ge 0.000 0.000 0.400
```

The 3 most intense peaks (10 to 90 degrees two-theta), low angle first:
d/Å  two_theta  I (rel.)
2.059  44.0  1000
1.784  51.2  467
1.261  75.4  272